# LiYMo3O8
Computed X-ray diffraction stick pattern, λ = 1.5418 Å (Cu Kα). Input: a structure optimized by DFT (GGA+U).
Peak positions follow from Bragg's law for the DFT cell and can differ from measured ones.

Structure:
Lattice parameters (Å, degrees): 6.2826 6.2826 4.9582 90.00 90.00 120.00
Fractional positions:
Li 0.0000 0.0000 0.0000
Y 0.6667 0.3333 0.0636
Mo 0.1694 0.3388 0.5637
Mo 0.1694 0.8306 0.5637
Mo 0.6612 0.8306 0.5637
O 0.0000 0.0000 0.3569
O 0.0078 0.5039 0.3580
O 0.3050 0.1525 0.7988
O 0.3333 0.6667 0.7811
O 0.4961 0.5039 0.3580
O 0.4961 0.9922 0.3580
O 0.8475 0.1525 0.7988
O 0.8475 0.6950 0.7988

Largest 12 diffraction maxima, in order of falling intensity, 10° ≤ 2θ ≤ 90°:
2theta, d [Å], I/Imax, index
24.29, 3.665, 100, 1 0 1
49.76, 1.832, 73, 0 2 2
32.92, 2.720, 63, 2 0 0
17.89, 4.958, 50, 0 0 1
33.78, 2.654, 43, 1 1 1
37.72, 2.385, 42, 0 2 1
47.89, 1.900, 29, 1 2 1
58.79, 1.571, 28, 2 2 0
80.55, 1.193, 16, 4 0 2
64.55, 1.444, 12, 1 3 1
36.24, 2.479, 12, 0 0 2
71.05, 1.327, 12, 2 2 2